Entry 1:
Calculated XRD peak list
Compound: Nd8InPb6
Radiation: λ = 1.5418 Å (Cu Kα)
Structure: a structure optimized by DFT (GGA-PBE)
Neutral-atom scattering factors, no anomalous dispersion.

Cell and atoms:
Unit cell a=9.5484 b=9.5484 c=19.7257 alpha=90.00 beta=90.00 gamma=120.00
Space group R-3 (No. 148, hexagonal axes)
Inequivalent atoms, fractional coordinates:
1 Nd 0.0000 0.0000 0.1675 (multiplicity 6)
2 Nd 0.0059 0.2866 0.5962 (multiplicity 18)
3 In 0.0000 0.0000 0.5000 (multiplicity 3)
4 Pb 0.0030 0.3684 0.4262 (multiplicity 18)

Top 10 peaks for 2θ = 10–80°, in order of rising 2θ:
index	2θ/deg	Rel. int.
1 1 0	18.59	27.8
1 1 3	23.02	28.1
0 0 6	27.12	27.1
1 2 2	29.99	21.3
3 0 0	32.48	100.0
1 1 6	33.08	92.2
0 3 6	42.81	28.5
4 -2 6	47.04	26.1
4 1 6	58.33	19.3
0 3 12	66.19	15.8

Entry 2:
Calculated XRD peak list
Compound: PH3Br
Radiation: λ = 1.5418 Å (Cu Kα)
Structure: a structure optimized by DFT (GGA-PBE)
Neutral-atom scattering factors, no anomalous dispersion.

Cell and atoms:
Unit cell a=6.8652 b=6.8652 c=5.8451 alpha=90.00 beta=90.00 gamma=120.00
Space group R3m (No. 160, hexagonal axes)
Inequivalent atoms, fractional coordinates:
1 P 0.0000 0.0000 0.0000 (multiplicity 3)
2 H 0.2165 0.1083 0.8969 (multiplicity 9)
3 Br 0.0000 0.0000 0.4642 (multiplicity 3)

Top 10 peaks for 2θ = 10–80°, in order of rising 2θ:
index	2θ/deg	Rel. int.
1 0 1	21.32	28.6
1 1 0	25.96	100.0
0 2 1	33.83	10.5
0 1 2	34.19	46.6
2 1 1	43.13	11.5
2 0 2	43.42	21.7
3 0 0	45.78	19.3
1 2 2	51.28	27.2
2 2 0	53.38	12.4
3 1 2	64.93	12.9